# Mg4Si7
Simulated powder diffractogram, copper Kα. Input: a structure optimized by DFT (PBE).
Peak positions follow from Bragg's law for the DFT cell and can differ from measured ones.

Most intense lines, 5° ≤ 2θ ≤ 70°, sorted by position:
(0 2 -3), 2θ = 28.79°, rel. 34
(1 -1 3), 2θ = 31.49°, rel. 100
(1 1 -4), 2θ = 32.45°, rel. 70
(1 -2 1), 2θ = 34.18°, rel. 40
(1 2 -2), 2θ = 35.01°, rel. 40
(0 3 -1), 2θ = 39.49°, rel. 37
(-1 2 3), 2θ = 41.01°, rel. 62
(2 0 -1), 2θ = 45.47°, rel. 82

Cell and atoms:
abc: 3.9915 6.8703 14.8453
angles: 103.37 96.31 91.28
Space group P1 (No. 1)
Asymmetric unit:
1 Mg 0.0000 0.0000 0.0000 (multiplicity 1)
2 Mg 0.0385 0.4502 0.0788 (multiplicity 1)
3 Mg 0.0886 0.7554 0.2385 (multiplicity 1)
4 Mg 0.1534 0.1864 0.3065 (multiplicity 1)
5 Mg 0.3922 0.6538 0.7232 (multiplicity 1)
6 Mg 0.4367 0.0730 0.8152 (multiplicity 1)
7 Mg 0.5676 0.1044 0.1515 (multiplicity 1)
8 Mg 0.8355 0.7097 0.5549 (multiplicity 1)
9 Si 0.2855 0.5984 0.4357 (multiplicity 1)
10 Si 0.3175 0.0248 0.5619 (multiplicity 1)
11 Si 0.3520 0.3630 0.5930 (multiplicity 1)
12 Si 0.4894 0.3114 0.9573 (multiplicity 1)
13 Si 0.4981 0.6785 0.9541 (multiplicity 1)
14 Si 0.5447 0.7495 0.1034 (multiplicity 1)
15 Si 0.6134 0.4420 0.2177 (multiplicity 1)
16 Si 0.6311 0.8824 0.3500 (multiplicity 1)
17 Si 0.7468 0.4598 0.3788 (multiplicity 1)
18 Si 0.7553 0.1056 0.4541 (multiplicity 1)
19 Si 0.8606 0.9534 0.6954 (multiplicity 1)
20 Si 0.8938 0.3207 0.6932 (multiplicity 1)
21 Si 0.9472 0.3944 0.8485 (multiplicity 1)
22 Si 0.9515 0.7547 0.8546 (multiplicity 1)

=====

# Mg2Si3
Simulated powder diffractogram, copper Kα. Input: a structure optimized by DFT (PBE).
Peak positions follow from Bragg's law for the DFT cell and can differ from measured ones.

Most intense lines, 5° ≤ 2θ ≤ 70°, sorted by position:
(1 1 5), 2θ = 34.44°, rel. 71
(3 1 0), 2θ = 35.03°, rel. 28
(4 0 1), 2θ = 36.91°, rel. 15
(1 1 6), 2θ = 38.38°, rel. 22
(3 1 -4), 2θ = 40.56°, rel. 100
(0 2 0), 2θ = 44.11°, rel. 45
(4 0 5), 2θ = 44.70°, rel. 29
(4 2 5), 2θ = 64.61°, rel. 19

Cell and atoms:
abc: 9.8332 4.1058 17.9248
angles: 90.00 90.06 90.00
Space group Cm (No. 8)
Asymmetric unit:
1 Mg 0.0000 0.0000 0.0000 (multiplicity 2)
2 Mg 0.0104 0.0000 0.7953 (multiplicity 2)
3 Mg 0.0526 0.5000 0.1331 (multiplicity 2)
4 Mg 0.1426 0.5000 0.5080 (multiplicity 2)
5 Mg 0.1679 0.5000 0.3067 (multiplicity 2)
6 Mg 0.2843 0.0000 0.9103 (multiplicity 2)
7 Mg 0.4163 0.5000 0.6161 (multiplicity 2)
8 Mg 0.4392 0.5000 0.4156 (multiplicity 2)
9 Si 0.0008 0.0000 0.2484 (multiplicity 2)
10 Si 0.0646 0.5000 0.8933 (multiplicity 2)
11 Si 0.0792 0.5000 0.6806 (multiplicity 2)
12 Si 0.2019 0.0000 0.6202 (multiplicity 2)
13 Si 0.2077 0.5000 0.0069 (multiplicity 2)
14 Si 0.2185 0.0000 0.4081 (multiplicity 2)
15 Si 0.2248 0.5000 0.7889 (multiplicity 2)
16 Si 0.2367 0.0000 0.1917 (multiplicity 2)
17 Si 0.3431 0.0000 0.7304 (multiplicity 2)
18 Si 0.3527 0.5000 0.1371 (multiplicity 2)
19 Si 0.3645 0.0000 0.5159 (multiplicity 2)
20 Si 0.3780 0.0000 0.3037 (multiplicity 2)

=====

# Mg3Si4
Simulated powder diffractogram, copper Kα. Input: a structure optimized by DFT (PBE).
Peak positions follow from Bragg's law for the DFT cell and can differ from measured ones.

Most intense lines, 5° ≤ 2θ ≤ 70°, sorted by position:
(1 2 2), 2θ = 32.86°, rel. 51
(1 -2 1), 2θ = 35.03°, rel. 73
(1 1 -2), 2θ = 35.58°, rel. 81
(0 1 3), 2θ = 37.62°, rel. 41
(2 0 1), 2θ = 37.87°, rel. 45
(1 3 0), 2θ = 38.33°, rel. 100
(0 3 1), 2θ = 39.09°, rel. 40
(1 -1 3), 2θ = 39.26°, rel. 69

Cell and atoms:
abc: 4.8790 7.4208 7.9041
angles: 85.68 73.30 77.02
Space group P1 (No. 1)
Asymmetric unit:
1 Mg 0.0000 0.0000 0.0000 (multiplicity 1)
2 Mg 0.0150 0.6634 0.7684 (multiplicity 1)
3 Mg 0.1563 0.6876 0.3597 (multiplicity 1)
4 Mg 0.3779 0.2334 0.1961 (multiplicity 1)
5 Mg 0.5299 0.1105 0.7402 (multiplicity 1)
6 Mg 0.8196 0.5109 0.1706 (multiplicity 1)
7 Si 0.0182 0.3497 0.5768 (multiplicity 1)
8 Si 0.1640 0.9805 0.5709 (multiplicity 1)
9 Si 0.3633 0.5764 0.9943 (multiplicity 1)
10 Si 0.5225 0.8554 0.0424 (multiplicity 1)
11 Si 0.5255 0.4075 0.4957 (multiplicity 1)
12 Si 0.6161 0.8805 0.3318 (multiplicity 1)
13 Si 0.7871 0.3345 0.8859 (multiplicity 1)
14 Si 0.8666 0.1295 0.3620 (multiplicity 1)

=====

# Mg4Si3
Simulated powder diffractogram, copper Kα. Input: a structure optimized by DFT (PBE).
Peak positions follow from Bragg's law for the DFT cell and can differ from measured ones.

Most intense lines, 5° ≤ 2θ ≤ 70°, sorted by position:
(2 0 2), 2θ = 35.25°, rel. 35
(2 -2 2), 2θ = 35.41°, rel. 100
(1 1 -4), 2θ = 36.71°, rel. 29
(-1 3 2), 2θ = 37.10°, rel. 34
(1 2 2), 2θ = 37.45°, rel. 31
(0 2 -4), 2θ = 38.56°, rel. 52
(0 2 4), 2θ = 39.98°, rel. 43
(-2 1 4), 2θ = 40.09°, rel. 41

Cell and atoms:
abc: 6.4033 7.9993 11.7264
angles: 90.11 94.83 111.89
Space group P1 (No. 1)
Asymmetric unit:
1 Mg 0.0000 0.0000 0.0000 (multiplicity 1)
2 Mg 0.0044 0.5547 0.9615 (multiplicity 1)
3 Mg 0.0916 0.8675 0.7612 (multiplicity 1)
4 Mg 0.1317 0.8226 0.2240 (multiplicity 1)
5 Mg 0.2640 0.5444 0.7361 (multiplicity 1)
6 Mg 0.2771 0.3719 0.4861 (multiplicity 1)
7 Mg 0.3978 0.3788 0.9648 (multiplicity 1)
8 Mg 0.4186 0.8592 0.4609 (multiplicity 1)
9 Mg 0.4520 0.8690 0.9671 (multiplicity 1)
10 Mg 0.6197 0.6028 0.3431 (multiplicity 1)
11 Mg 0.6355 0.9543 0.7267 (multiplicity 1)
12 Mg 0.6805 0.3839 0.7335 (multiplicity 1)
13 Mg 0.7206 0.9857 0.2344 (multiplicity 1)
14 Mg 0.7564 0.2626 0.4886 (multiplicity 1)
15 Mg 0.8170 0.3957 0.1927 (multiplicity 1)
16 Mg 0.9663 0.9365 0.4694 (multiplicity 1)
17 Si 0.0448 0.5738 0.3912 (multiplicity 1)
18 Si 0.0527 0.1855 0.6578 (multiplicity 1)
19 Si 0.1786 0.2751 0.1886 (multiplicity 1)
20 Si 0.3375 0.5986 0.1461 (multiplicity 1)
21 Si 0.3632 0.0973 0.6136 (multiplicity 1)
22 Si 0.4003 0.1654 0.3258 (multiplicity 1)
23 Si 0.4266 0.1283 0.1124 (multiplicity 1)
24 Si 0.6188 0.6690 0.5878 (multiplicity 1)
25 Si 0.6887 0.6789 0.8632 (multiplicity 1)
26 Si 0.7213 0.6880 0.0844 (multiplicity 1)
27 Si 0.9547 0.6083 0.5811 (multiplicity 1)
28 Si 0.9703 0.2397 0.8498 (multiplicity 1)

=====

# Mg5Si6
Simulated powder diffractogram, copper Kα. Input: a structure optimized by DFT (PBE).
Peak positions follow from Bragg's law for the DFT cell and can differ from measured ones.

Most intense lines, 5° ≤ 2θ ≤ 70°, sorted by position:
(1 1 -3), 2θ = 32.31°, rel. 62
(2 1 0), 2θ = 34.51°, rel. 41
(1 1 4), 2θ = 36.08°, rel. 100
(2 1 -2), 2θ = 36.59°, rel. 44
(0 1 5), 2θ = 38.42°, rel. 42
(2 1 3), 2θ = 39.07°, rel. 80
(2 1 -4), 2θ = 42.31°, rel. 62
(0 2 0), 2θ = 48.52°, rel. 83

Cell and atoms:
abc: 7.2049 3.7530 14.9991
angles: 90.00 90.02 90.00
Space group Pm (No. 6)
Asymmetric unit:
1 Mg 0.0000 0.0000 0.0000 (multiplicity 1)
2 Mg 0.0041 0.0000 0.6621 (multiplicity 1)
3 Mg 0.0686 0.0000 0.2188 (multiplicity 1)
4 Mg 0.2682 0.5000 0.5008 (multiplicity 1)
5 Mg 0.4105 0.0000 0.8385 (multiplicity 1)
6 Mg 0.4707 0.0000 0.0841 (multiplicity 1)
7 Mg 0.6261 0.5000 0.3853 (multiplicity 1)
8 Mg 0.6580 0.5000 0.6989 (multiplicity 1)
9 Mg 0.6735 0.5000 0.9503 (multiplicity 1)
10 Mg 0.9658 0.0000 0.4056 (multiplicity 1)
11 Si 0.0303 0.5000 0.8423 (multiplicity 1)
12 Si 0.1766 0.5000 0.1079 (multiplicity 1)
13 Si 0.2720 0.5000 0.7209 (multiplicity 1)
14 Si 0.2847 0.5000 0.9579 (multiplicity 1)
15 Si 0.3239 0.0000 0.3501 (multiplicity 1)
16 Si 0.3870 0.0000 0.6281 (multiplicity 1)
17 Si 0.3971 0.5000 0.2424 (multiplicity 1)
18 Si 0.6586 0.0000 0.5300 (multiplicity 1)
19 Si 0.6957 0.0000 0.2330 (multiplicity 1)
20 Si 0.8080 0.5000 0.1301 (multiplicity 1)
21 Si 0.8096 0.0000 0.8259 (multiplicity 1)
22 Si 0.8785 0.5000 0.5372 (multiplicity 1)

=====

# Mg4Si3
Simulated powder diffractogram, copper Kα. Input: a structure optimized by DFT (PBE).
Peak positions follow from Bragg's law for the DFT cell and can differ from measured ones.

Most intense lines, 5° ≤ 2θ ≤ 70°, sorted by position:
(1 2 -2), 2θ = 36.80°, rel. 60
(1 -2 0), 2θ = 37.22°, rel. 52
(2 1 1), 2θ = 37.49°, rel. 100
(1 3 1), 2θ = 39.84°, rel. 42
(1 -1 3), 2θ = 43.16°, rel. 36
(2 0 -2), 2θ = 46.62°, rel. 24
(0 4 -2), 2θ = 59.52°, rel. 14
(3 3 -1), 2θ = 62.69°, rel. 9

Cell and atoms:
abc: 4.9512 7.1469 7.7167
angles: 88.81 86.08 71.78
Space group P1 (No. 1)
Asymmetric unit:
1 Mg 0.0000 0.0000 0.0000 (multiplicity 1)
2 Mg 0.0651 0.5454 0.1569 (multiplicity 1)
3 Mg 0.2260 0.6348 0.7863 (multiplicity 1)
4 Mg 0.3805 0.6948 0.4080 (multiplicity 1)
5 Mg 0.4916 0.2809 0.5654 (multiplicity 1)
6 Mg 0.6177 0.8813 0.7339 (multiplicity 1)
7 Mg 0.7658 0.9335 0.3472 (multiplicity 1)
8 Mg 0.8359 0.3935 0.8415 (multiplicity 1)
9 Si 0.0692 0.0264 0.6187 (multiplicity 1)
10 Si 0.1571 0.1668 0.3143 (multiplicity 1)
11 Si 0.4032 0.2253 0.9676 (multiplicity 1)
12 Si 0.5408 0.7557 0.0622 (multiplicity 1)
13 Si 0.6414 0.3338 0.2024 (multiplicity 1)
14 Si 0.9360 0.5176 0.5079 (multiplicity 1)